The following is a theoretical XRD peak list of HfCdCu2. It was derived from a DFT-relaxed cell (PBE, OQMD), using Cu Kα X-rays.
Neutral-atom scattering factors, no anomalous dispersion.

Top 10 peaks for 2θ = 10–80°, low angle first:
2theta, d/Å, intensity, h k l
24.32, 3.661, 5, 0 1 1
28.15, 3.170, 16, 1 0 1
40.23, 2.242, 100, 2 0 0
47.57, 1.912, 3, 1 3 0
49.82, 1.830, 5, 2 2 0
58.15, 1.586, 11, 2 0 2
58.31, 1.582, 5, 0 4 0
65.84, 1.419, 4, 3 0 1
73.09, 1.295, 22, 3 2 1
73.19, 1.293, 11, 2 4 0

Structure:
Unit cell a=4.4873 b=6.3298 c=4.4865 alpha=90.00 beta=90.00 gamma=90.00
Space group Pmmn (No. 59, origin choice 2)
Asymmetric unit:
1 Hf 0.2500 0.2500 0.2491 (multiplicity 2)
2 Cd 0.2500 0.7500 0.2489 (multiplicity 2)
3 Cu 0.2500 0.9999 0.7484 (multiplicity 4)